Structure and calculated X-ray diffraction stick pattern of NbMo2Pt6 (a PBE-relaxed structure; Cu Kα X-rays).
Lines closer than 0.1° are merged.

Most intense lines, 10° ≤ 2θ ≤ 90°, by intensity:
d = 2.308 Å, 39.0 deg, intensity 100, (1 0 5); d = 2.236 Å, 40.3 deg, intensity 80, (1 2 1); d = 3.853 Å, 23.1 deg, intensity 39, (1 0 1); d = 2.003 Å, 45.3 deg, intensity 36, (2 0 0); d = 1.767 Å, 51.7 deg, intensity 33, (1 2 5); d = 1.787 Å, 51.1 deg, intensity 32, (0 2 6); d = 2.746 Å, 32.6 deg, intensity 31, (0 2 0); d = 1.333 Å, 70.7 deg, intensity 24, (2 2 6); d = 1.180 Å, 81.6 deg, intensity 24, (1 4 5); d = 1.117 Å, 87.3 deg, intensity 18, (1 2 11)

Cell and atoms:
a = 4.0055 Å, b = 5.4916 Å, c = 14.1183 Å
α = 90.00°, β = 90.00°, γ = 90.00°
Space group Imm2 (No. 44)
Asymmetric unit:
Nb  0.0000  0.0000  0.0000 [2 per cell]
Mo  0.0000  0.5000  0.0185 [2 per cell]
Mo  0.0000  0.5000  0.2138 [2 per cell]
Pt  0.0000  0.2458  0.4177 [4 per cell]
Pt  0.0000  0.2512  0.6084 [4 per cell]
Pt  0.0000  0.2619  0.7931 [4 per cell]

Structure and calculated X-ray diffraction stick pattern of PrTm5 (a PBE-relaxed structure; Cu Kα X-rays).
Lines closer than 0.1° are merged.

Most intense lines, 10° ≤ 2θ ≤ 90°, by intensity:
d = 2.879 Å, 31.1 deg, intensity 100, (1 3 1); d = 2.494 Å, 36.0 deg, intensity 51, (2 0 0); d = 1.763 Å, 51.9 deg, intensity 36, (2 6 0); d = 1.504 Å, 61.7 deg, intensity 29, (3 3 1); d = 1.503 Å, 61.7 deg, intensity 14, (1 9 1); d = 1.440 Å, 64.7 deg, intensity 12, (2 6 2); d = 1.145 Å, 84.7 deg, intensity 12, (3 3 3); d = 1.115 Å, 87.5 deg, intensity 8, (4 0 2); d = 1.144 Å, 84.8 deg, intensity 6, (3 9 1); d = 1.116 Å, 87.4 deg, intensity 6, (2 0 4)

Cell and atoms:
a = 4.9864 Å, b = 14.9456 Å, c = 4.9940 Å
α = 90.00°, β = 90.00°, γ = 90.00°
Space group Cmmm (No. 65)
Asymmetric unit:
Pr  0.0000  0.0000  0.0000 [2 per cell]
Tm  0.0000  0.1677  0.5000 [4 per cell]
Tm  0.0000  0.3316  0.0000 [4 per cell]
Tm  0.0000  0.5000  0.5000 [2 per cell]

Structure and calculated X-ray diffraction stick pattern of Rb2AgPbI5 (a PBE-relaxed structure; Cu Kα X-rays).
Lines closer than 0.1° are merged.

Most intense lines, 10° ≤ 2θ ≤ 90°, by intensity:
d = 3.466 Å, 25.7 deg, intensity 100, (1 1 3); d = 3.496 Å, 25.5 deg, intensity 56, (0 6 1); d = 2.965 Å, 30.1 deg, intensity 38, (1 5 2); d = 2.149 Å, 42.0 deg, intensity 33, (1 7 4); d = 2.415 Å, 37.2 deg, intensity 27, (2 0 0); d = 1.987 Å, 45.7 deg, intensity 25, (2 6 1); d = 8.816 Å, 10.0 deg, intensity 19, (0 2 1); d = 2.461 Å, 36.5 deg, intensity 18, (1 7 2); d = 7.672 Å, 11.5 deg, intensity 16, (0 0 2); d = 4.015 Å, 22.1 deg, intensity 13, (1 1 2)

Cell and atoms:
a = 4.8296 Å, b = 21.5420 Å, c = 15.3437 Å
α = 90.00°, β = 90.00°, γ = 90.00°
Space group Cmc2_1 (No. 36)
Asymmetric unit:
Rb  0.0000  0.1112  0.0000 [4 per cell]
Rb  0.0000  0.1234  0.6355 [4 per cell]
Ag  0.0000  0.4434  0.7487 [4 per cell]
Pb  0.0000  0.2050  0.3332 [4 per cell]
I  0.0000  0.0511  0.3475 [4 per cell]
I  0.0000  0.2889  0.9776 [4 per cell]
I  0.0000  0.3047  0.6856 [4 per cell]
I  0.0000  0.3524  0.3199 [4 per cell]
I  0.0000  0.4988  0.0852 [4 per cell]

Structure and calculated X-ray diffraction stick pattern of Cs2ScBr7 (a PBE-relaxed structure; Cu Kα X-rays).
Lines closer than 0.1° are merged.

Most intense lines, 10° ≤ 2θ ≤ 90°, by intensity:
d = 3.393 Å, 26.3 deg, intensity 100, (2 0 2); d = 3.100 Å, 28.8 deg, intensity 75, (2 2 0); d = 2.027 Å, 44.7 deg, intensity 44, (2 2 4); d = 2.679 Å, 33.5 deg, intensity 30, (0 0 4); d = 4.053 Å, 21.9 deg, intensity 28, (1 1 2); d = 2.192 Å, 41.2 deg, intensity 23, (4 0 0); d = 1.841 Å, 49.5 deg, intensity 20, (4 2 2); d = 1.696 Å, 54.1 deg, intensity 20, (4 0 4); d = 4.384 Å, 20.3 deg, intensity 19, (2 0 0); d = 2.820 Å, 31.7 deg, intensity 14, (3 0 1)

Cell and atoms:
a = 8.7678 Å, b = 8.7678 Å, c = 10.7142 Å
α = 90.00°, β = 90.00°, γ = 90.00°
Space group I4/mmm (No. 139)
Asymmetric unit:
Cs  0.0000  0.5000  0.2500 [4 per cell]
Sc  0.0000  0.0000  0.0000 [2 per cell]
Br  0.0000  0.0000  0.2636 [4 per cell]
Br  0.0000  0.0000  0.5000 [2 per cell]
Br  0.2102  0.2102  0.0000 [8 per cell]

Structure and calculated X-ray diffraction stick pattern of CsLiTlSe2 (a PBE-relaxed structure; Cu Kα X-rays).
Lines closer than 0.1° are merged.

Most intense lines, 10° ≤ 2θ ≤ 90°, by intensity:
d = 3.471 Å, 25.7 deg, intensity 100, (1 3 1); d = 3.130 Å, 28.5 deg, intensity 64, (2 0 0); d = 5.206 Å, 17.0 deg, intensity 62, (0 2 1); d = 3.192 Å, 27.9 deg, intensity 55, (0 2 2); d = 2.235 Å, 40.4 deg, intensity 49, (2 2 2); d = 3.403 Å, 26.2 deg, intensity 40, (0 4 1); d = 1.735 Å, 52.8 deg, intensity 32, (2 6 2); d = 6.999 Å, 12.6 deg, intensity 32, (0 0 1); d = 2.304 Å, 39.1 deg, intensity 31, (2 4 1); d = 2.085 Å, 43.4 deg, intensity 29, (0 6 2)

Cell and atoms:
a = 6.2594 Å, b = 15.5791 Å, c = 6.9992 Å
α = 90.00°, β = 90.00°, γ = 90.00°
Space group Cmme (No. 67)
Asymmetric unit:
Cs  0.0000  0.2500  0.2482 [4 per cell]
Li  0.2500  0.0000  0.0000 [4 per cell]
Tl  0.0000  0.0000  0.5000 [4 per cell]
Se  0.0000  0.1088  0.8070 [8 per cell]

Structure and calculated X-ray diffraction stick pattern of ThZr2PaAs4 (a PBE-relaxed structure; Cu Kα X-rays).
Lines closer than 0.1° are merged.

Most intense lines, 10° ≤ 2θ ≤ 90°, by intensity:
d = 2.844 Å, 31.5 deg, intensity 100, (1 1 1); d = 2.028 Å, 44.7 deg, intensity 38, (0 2 0); d = 1.995 Å, 45.5 deg, intensity 35, (3 1 -1); d = 3.302 Å, 27.0 deg, intensity 17, (0 0 2); d = 3.456 Å, 25.8 deg, intensity 13, (0 1 1); d = 1.652 Å, 55.6 deg, intensity 13, (2 2 -2); d = 6.464 Å, 13.7 deg, intensity 12, (1 0 0); d = 1.422 Å, 65.7 deg, intensity 12, (2 2 2); d = 1.280 Å, 74.1 deg, intensity 11, (0 2 4); d = 1.264 Å, 75.1 deg, intensity 10, (4 2 0)

Cell and atoms:
a = 6.8769 Å, b = 4.0605 Å, c = 7.0158 Å
α = 90.00°, β = 109.96°, γ = 90.00°
Space group P2/m (No. 10)
Asymmetric unit:
Th  0.0000  0.0000  0.0000 [1 per cell]
Zr  0.5000  0.0000  0.5000 [1 per cell]
Zr  0.5000  0.5000  0.0000 [1 per cell]
Pa  0.0000  0.5000  0.5000 [1 per cell]
As  0.2665  0.0000  0.7505 [2 per cell]
As  0.2701  0.5000  0.2619 [2 per cell]